Structure and computed X-ray diffraction stick pattern of Pu3O2 (a DFT-relaxed cell (PBE, Alexandria); Cu Kα X-rays).

Largest 8 diffraction maxima, in order of rising 2θ, 5 to 70 degrees two-theta:
2θ (°)  d/Å  I (rel.)
28.9  3.092  19
31.7  2.820  22
33.0  2.711  100
43.4  2.084  19
51.2  1.785  22
57.4  1.606  22
61.5  1.508  22
62.3  1.491  17

```
Pu3O2
1.0
3.0918 1.7851 5.6401
-3.0918 1.7851 5.6401
0.0000 -3.5701 5.6401
Pu O
6 4
Cartesian
-2.0649 -0.0063 7.0501
-1.0269 -1.7914 9.8702
1.0379 -1.7850 7.0501
-1.0379 1.7851 9.8702
1.0269 1.7914 7.0501
2.0649 0.0063 9.8702
0.0000 0.0000 2.7422
0.0000 0.0000 5.7180
0.0000 0.0000 11.2023
0.0000 0.0000 14.1781
```